# 1
Rb2BaMoCl8: calculated powder diffractogram (Cu Kα, 1.54184 Å), based on DFT lattice parameters and positions (PBE).
Kinematic intensities with the Lorentz-polarization factor, no thermal factor.

Most intense lines, 15 to 90 degrees two-theta, sorted by position:
2θ/deg  I_rel
17.2  78.4
20.9  58.8
22.7  86.4
30.5  36.9
32.1  100.0
36.4  59.0
39.3  18.4
40.3  17.1
40.7  17.7
50.6  19.1

Structure:
a = 5.971 Å, b = 7.753 Å, c = 9.160 Å
α = 90.00°, β = 90.05°, γ = 101.39°
Atoms (fractional coordinates):
Rb 0.003 0.000 0.262
Rb 0.997 0.000 0.738
Ba 0.500 0.500 0.000
Mo 0.500 0.500 0.500
Cl 0.029 0.266 0.000
Cl 0.126 0.333 0.500
Cl 0.408 0.693 0.308
Cl 0.409 0.694 0.692
Cl 0.591 0.306 0.308
Cl 0.592 0.307 0.692
Cl 0.874 0.667 0.500
Cl 0.971 0.734 0.000

---

# 2
Ba5NCl5: calculated powder diffractogram (Cu Kα, 1.54184 Å), based on DFT lattice parameters and positions (PBE).
Kinematic intensities with the Lorentz-polarization factor, no thermal factor.

Most intense lines, 15 to 90 degrees two-theta, sorted by position:
2θ/deg  I_rel
15.7  16.4
24.7  74.9
28.5  100.0
28.7  44.8
33.8  15.3
40.7  47.4
40.9  46.6
48.2  17.2
50.5  18.7
50.7  14.4

Structure:
a = 7.659 Å, b = 7.659 Å, c = 8.850 Å
α = 107.28°, β = 107.28°, γ = 48.25°
Atoms (fractional coordinates):
Ba 0.000 0.000 0.000
Ba 0.351 0.351 0.146
Ba 0.353 0.353 0.705
Ba 0.647 0.647 0.295
Ba 0.649 0.649 0.854
N 0.500 0.500 0.000
Cl 0.163 0.163 0.824
Cl 0.177 0.177 0.335
Cl 0.500 0.500 0.500
Cl 0.823 0.823 0.665
Cl 0.837 0.837 0.176

---

# 3
Ba5TaN4Cl2: calculated powder diffractogram (Cu Kα, 1.54184 Å), based on DFT lattice parameters and positions (PBE).
Kinematic intensities with the Lorentz-polarization factor, no thermal factor.

Most intense lines, 15 to 90 degrees two-theta, sorted by position:
2θ/deg  I_rel
26.0  90.5
26.6  38.9
27.0  40.1
28.6  100.0
28.9  15.2
35.4  16.0
38.2  51.0
42.7  14.5
48.7  18.3
49.8  31.0

Structure:
a = 8.663 Å, b = 6.254 Å, c = 6.254 Å
α = 116.15°, β = 90.00°, γ = 90.00°
Atoms (fractional coordinates):
Ba 0.000 0.000 0.000
Ba 0.300 0.245 0.599
Ba 0.300 0.599 0.245
Ba 0.700 0.245 0.599
Ba 0.700 0.599 0.245
Ta 0.500 0.936 0.936
N 0.314 0.114 0.114
N 0.500 0.607 0.915
N 0.500 0.915 0.607
N 0.686 0.114 0.114
Cl 0.000 0.470 0.925
Cl 0.000 0.925 0.470

---

# 4
Ba3TaN3Cl2: calculated powder diffractogram (Cu Kα, 1.54184 Å), based on DFT lattice parameters and positions (PBE).
Kinematic intensities with the Lorentz-polarization factor, no thermal factor.

Most intense lines, 15 to 90 degrees two-theta, sorted by position:
2θ/deg  I_rel
18.0  9.9
24.3  10.4
27.2  20.8
27.6  34.1
28.0  100.0
31.1  20.9
38.1  11.6
44.1  14.3
45.4  9.5
49.0  18.2

Structure:
a = 15.223 Å, b = 15.223 Å, c = 6.471 Å
α = 90.00°, β = 90.00°, γ = 120.00°
Atoms (fractional coordinates):
Ba 0.000 0.200 0.000
Ba 0.000 0.800 0.500
Ba 0.159 0.469 0.427
Ba 0.159 0.690 0.927
Ba 0.200 0.000 0.000
Ba 0.200 0.200 0.500
Ba 0.310 0.469 0.927
Ba 0.310 0.841 0.427
Ba 0.469 0.159 0.427
Ba 0.469 0.310 0.927
Ba 0.531 0.690 0.427
Ba 0.531 0.841 0.927
Ba 0.690 0.159 0.927
Ba 0.690 0.531 0.427
Ba 0.800 0.000 0.500
Ba 0.800 0.800 0.000
Ba 0.841 0.310 0.427
Ba 0.841 0.531 0.927
Ta 0.000 0.423 0.966
Ta 0.000 0.577 0.466
Ta 0.423 0.000 0.966
Ta 0.423 0.423 0.466
Ta 0.577 0.000 0.466
Ta 0.577 0.577 0.966
N 0.000 0.487 0.689
N 0.000 0.513 0.189
N 0.114 0.404 0.008
N 0.114 0.710 0.508
N 0.290 0.404 0.508
N 0.290 0.886 0.008
N 0.404 0.114 0.008
N 0.404 0.290 0.508
N 0.487 0.000 0.689
N 0.487 0.487 0.189
N 0.513 0.000 0.189
N 0.513 0.513 0.689
N 0.596 0.710 0.008
N 0.596 0.886 0.508
N 0.710 0.114 0.508
N 0.710 0.596 0.008
N 0.886 0.290 0.008
N 0.886 0.596 0.508
Cl 0.000 0.000 0.248
Cl 0.000 0.000 0.748
Cl 0.000 0.229 0.495
Cl 0.000 0.771 0.995
Cl 0.229 0.000 0.495
Cl 0.229 0.229 0.995
Cl 0.333 0.667 0.187
Cl 0.333 0.667 0.687
Cl 0.667 0.333 0.187
Cl 0.667 0.333 0.687
Cl 0.771 0.000 0.995
Cl 0.771 0.771 0.495

---

# 5
BaNaPdCl6: calculated powder diffractogram (Cu Kα, 1.54184 Å), based on DFT lattice parameters and positions (PBE).
Kinematic intensities with the Lorentz-polarization factor, no thermal factor.

Most intense lines, 15 to 90 degrees two-theta, sorted by position:
2θ/deg  I_rel
19.7  100.0
20.3  94.4
20.5  81.3
26.5  26.7
29.6  38.6
32.3  25.9
36.6  39.3
38.0  46.4
38.6  59.1
45.2  40.5

Structure:
a = 6.587 Å, b = 6.732 Å, c = 6.738 Å
α = 116.61°, β = 91.07°, γ = 91.12°
Atoms (fractional coordinates):
Ba 0.000 0.000 0.000
Na 0.500 0.320 0.680
Pd 0.501 0.665 0.335
Cl 0.257 0.962 0.613
Cl 0.293 0.379 0.345
Cl 0.297 0.653 0.036
Cl 0.705 0.965 0.349
Cl 0.708 0.654 0.620
Cl 0.745 0.389 0.037

---

# 6
BaNaPuCl6: calculated powder diffractogram (Cu Kα, 1.54184 Å), based on DFT lattice parameters and positions (PBE).
Kinematic intensities with the Lorentz-polarization factor, no thermal factor.

Most intense lines, 15 to 90 degrees two-theta, sorted by position:
2θ/deg  I_rel
15.7  80.8
19.5  100.0
24.7  56.9
28.2  28.3
31.7  28.9
36.8  80.1
40.6  31.0
43.4  56.4
58.2  17.8
75.4  19.5

Structure:
a = 7.215 Å, b = 7.215 Å, c = 13.258 Å
α = 90.00°, β = 90.00°, γ = 120.00°
Atoms (fractional coordinates):
Ba 0.000 0.000 0.000
Ba 0.000 0.000 0.500
Na 0.333 0.667 0.250
Na 0.667 0.333 0.750
Pu 0.333 0.667 0.750
Pu 0.667 0.333 0.250
Cl 0.011 0.359 0.636
Cl 0.011 0.652 0.864
Cl 0.348 0.359 0.864
Cl 0.348 0.989 0.636
Cl 0.359 0.011 0.136
Cl 0.359 0.348 0.364
Cl 0.641 0.652 0.636
Cl 0.641 0.989 0.864
Cl 0.652 0.011 0.364
Cl 0.652 0.641 0.136
Cl 0.989 0.348 0.136
Cl 0.989 0.641 0.364

---

# 7
BaNaTeCl: calculated powder diffractogram (Cu Kα, 1.54184 Å), based on DFT lattice parameters and positions (PBE).
Kinematic intensities with the Lorentz-polarization factor, no thermal factor.

Most intense lines, 15 to 90 degrees two-theta, sorted by position:
2θ/deg  I_rel
19.2  42.8
31.7  100.0
37.3  24.6
45.4  17.9
49.7  11.0
56.4  36.9
60.2  8.4
66.1  11.3
69.6  8.3
75.2  15.5

Structure:
a = 7.992 Å, b = 7.992 Å, c = 7.992 Å
α = 90.00°, β = 90.00°, γ = 90.00°
Atoms (fractional coordinates):
Ba 0.000 0.000 0.000
Ba 0.000 0.500 0.500
Ba 0.500 0.000 0.500
Ba 0.500 0.500 0.000
Na 0.000 0.000 0.500
Na 0.000 0.500 0.000
Na 0.500 0.000 0.000
Na 0.500 0.500 0.500
Te 0.250 0.250 0.250
Te 0.250 0.750 0.750
Te 0.750 0.250 0.750
Te 0.750 0.750 0.250
Cl 0.250 0.250 0.750
Cl 0.250 0.750 0.250
Cl 0.750 0.250 0.250
Cl 0.750 0.750 0.750

---

# 8
Ba2NdCl6: calculated powder diffractogram (Cu Kα, 1.54184 Å), based on DFT lattice parameters and positions (PBE).
Kinematic intensities with the Lorentz-polarization factor, no thermal factor.

Most intense lines, 15 to 90 degrees two-theta, sorted by position:
2θ/deg  I_rel
17.3  100.0
24.0  62.6
27.0  15.5
34.6  80.0
35.0  31.5
39.3  19.7
42.9  31.5
45.7  15.1
55.7  13.5
56.5  14.0

Structure:
a = 7.249 Å, b = 7.249 Å, c = 12.927 Å
α = 90.00°, β = 90.00°, γ = 90.00°
Atoms (fractional coordinates):
Ba 0.000 0.000 0.176
Ba 0.000 0.000 0.824
Ba 0.500 0.500 0.324
Ba 0.500 0.500 0.676
Nd 0.000 0.000 0.500
Nd 0.500 0.500 0.000
Cl 0.204 0.204 0.351
Cl 0.204 0.204 0.649
Cl 0.222 0.222 0.000
Cl 0.278 0.722 0.500
Cl 0.296 0.704 0.149
Cl 0.296 0.704 0.851
Cl 0.704 0.296 0.149
Cl 0.704 0.296 0.851
Cl 0.722 0.278 0.500
Cl 0.778 0.778 0.000
Cl 0.796 0.796 0.351
Cl 0.796 0.796 0.649

---

Copy entry 2 word for word.
Ba5NCl5: calculated powder diffractogram (Cu Kα, 1.54184 Å), based on DFT lattice parameters and positions (PBE).
Kinematic intensities with the Lorentz-polarization factor, no thermal factor.

Most intense lines, 15 to 90 degrees two-theta, sorted by position:
2θ/deg  I_rel
15.7  16.4
24.7  74.9
28.5  100.0
28.7  44.8
33.8  15.3
40.7  47.4
40.9  46.6
48.2  17.2
50.5  18.7
50.7  14.4

Structure:
a = 7.659 Å, b = 7.659 Å, c = 8.850 Å
α = 107.28°, β = 107.28°, γ = 48.25°
Atoms (fractional coordinates):
Ba 0.000 0.000 0.000
Ba 0.351 0.351 0.146
Ba 0.353 0.353 0.705
Ba 0.647 0.647 0.295
Ba 0.649 0.649 0.854
N 0.500 0.500 0.000
Cl 0.163 0.163 0.824
Cl 0.177 0.177 0.335
Cl 0.500 0.500 0.500
Cl 0.823 0.823 0.665
Cl 0.837 0.837 0.176